# SrMnVO6
Computed powder X-ray diffraction pattern, Cu Kα (λ = 1.5418 Å). Input: a GGA+U-relaxed structure.
Neutral-atom scattering factors, no anomalous dispersion.

Atomic structure:
Lattice parameters (Å, degrees): 5.0428 5.0437 5.4358 90.03 90.04 119.95
Sites, in units of the cell vectors:
Sr 0.0000 0.0000 0.0000
Mn 0.6667 0.3332 0.5113
V 0.3332 0.6668 0.4886
O 0.0009 0.6201 0.3092
O 0.0039 0.3945 0.7059
O 0.3792 0.3806 0.3094
O 0.3908 0.9967 0.7058
O 0.6061 0.6096 0.7058
O 0.6187 0.9983 0.3092

Peak list (6 most intense, 2θ from 10° to 90°, sorted by position)
2θ 26.2, intensity 100
2θ 35.6, intensity 23
2θ 44.7, intensity 17
2θ 49.3, intensity 40
2θ 58.4, intensity 19
2θ 63.9, intensity 10